Theoretical XRD peak list of Ce2SnPt9 for Cu Kα X-rays, from a structure optimized by DFT (GGA-PBE).

Cell and atoms:
a b c (Å): 4.1422 4.1422 12.3742
angles (deg): 90.00 90.00 90.00
Space group P4/mmm (No. 123)
Asymmetric unit:
Ce1 0.0000 0.0000 0.1689 [2 per cell]
Sn1 0.0000 0.0000 0.5000 [1 per cell]
Pt1 0.0000 0.5000 0.0000 [2 per cell]
Pt2 0.0000 0.5000 0.3370 [4 per cell]
Pt3 0.5000 0.5000 0.1711 [2 per cell]
Pt4 0.5000 0.5000 0.5000 [1 per cell]

Top 10 peaks for 2θ from 10° to 90°, low angle first:
| 2θ/deg | I/Imax | hkl |
| --- | --- | --- |
| 21.48 | 2 | 1 0 0 |
| 30.56 | 2 | 1 1 0 |
| 37.67 | 100 | 1 1 3 |
| 43.71 | 33 | 2 0 0 |
| 43.90 | 16 | 0 0 6 |
| 63.53 | 11 | 2 2 0 |
| 63.68 | 22 | 2 0 6 |
| 76.27 | 26 | 3 1 3 |
| 76.55 | 13 | 1 1 9 |
| 80.43 | 11 | 2 2 6 |